No. 1
Diffraction record for Pr5Sm2YSc. The X-ray powder pattern is theoretical, not measured: it uses a cell relaxed with GGA-PBE and Cu Kα (weighted mean of Kα1 and Kα2).
Kinematic intensities with the Lorentz-polarization factor, no thermal factor.

Top 6 peaks for 5 to 70 degrees two-theta, by angle:
d_spacing	Rel. int.
3.170	74
3.026	100
3.005	51
2.688	22
2.335	19
1.739	24

Crystal structure
abc: 10.509 10.509 10.509
angles: 132.30 132.30 69.76
Positions (direct):
Pr1 0.000 0.000 0.000
Pr2 0.072 0.572 0.932
Pr3 0.139 0.072 0.500
Pr4 0.361 0.861 0.932
Pr5 0.428 0.361 0.500
Pr6 0.500 0.500 0.000
Pr7 0.572 0.639 0.500
Pr8 0.639 0.139 0.068
Pr9 0.861 0.928 0.500
Pr10 0.928 0.428 0.068
Sm1 0.125 0.375 0.500
Sm2 0.375 0.875 0.250
Sm3 0.625 0.125 0.750
Sm4 0.875 0.625 0.500
Y1 0.250 0.250 0.000
Y2 0.750 0.750 0.000
Sc1 0.250 0.750 0.500
Sc2 0.750 0.250 0.500

=====

No. 2
Diffraction record for Pr8ScSn6. The X-ray powder pattern is theoretical, not measured: it uses a cell relaxed with GGA-PBE and Cu Kα (weighted mean of Kα1 and Kα2).
Kinematic intensities with the Lorentz-polarization factor, no thermal factor.

Top 6 peaks for 5 to 70 degrees two-theta, by angle:
d_spacing	Rel. int.
4.675	12
2.701	100
2.092	11
1.910	17
1.560	28
1.350	12

Crystal structure
abc: 8.545 8.545 8.545
angles: 66.34 66.34 66.34
Positions (direct):
Pr1 0.057 0.735 0.399
Pr2 0.165 0.165 0.165
Pr3 0.265 0.601 0.943
Pr4 0.399 0.057 0.735
Pr5 0.601 0.943 0.265
Pr6 0.735 0.399 0.057
Pr7 0.835 0.835 0.835
Pr8 0.943 0.265 0.601
Sc1 0.500 0.500 0.500
Sn1 0.113 0.433 0.755
Sn2 0.245 0.887 0.567
Sn3 0.433 0.755 0.113
Sn4 0.567 0.245 0.887
Sn5 0.755 0.113 0.433
Sn6 0.887 0.567 0.245

=====

No. 3
Diffraction record for Tb4PrSc. The X-ray powder pattern is theoretical, not measured: it uses a cell relaxed with GGA-PBE and Cu Kα (weighted mean of Kα1 and Kα2).
Kinematic intensities with the Lorentz-polarization factor, no thermal factor.

Top 6 peaks for 5 to 70 degrees two-theta, by angle:
d_spacing	Rel. int.
3.249	45
2.955	36
2.880	57
2.844	96
2.531	100
2.155	27

Crystal structure
abc: 5.947 5.947 11.367
angles: 117.81 117.81 33.65
Positions (direct):
Tb1 0.153 0.153 0.336
Tb2 0.345 0.345 0.149
Tb3 0.655 0.655 0.851
Tb4 0.847 0.847 0.664
Pr1 0.500 0.500 0.500
Sc1 0.000 0.000 0.000

=====

No. 4
Diffraction record for Tb2PrSc2. The X-ray powder pattern is theoretical, not measured: it uses a cell relaxed with GGA-PBE and Cu Kα (weighted mean of Kα1 and Kα2).
Kinematic intensities with the Lorentz-polarization factor, no thermal factor.

Top 6 peaks for 5 to 70 degrees two-theta, by angle:
d_spacing	Rel. int.
3.849	60
3.406	36
2.788	67
2.748	46
2.551	100
1.469	26

Crystal structure
abc: 9.195 9.195 9.195
angles: 145.21 136.51 56.85
Positions (direct):
Tb1 0.125 0.375 0.750
Tb2 0.251 0.001 0.250
Tb3 0.749 0.999 0.750
Tb4 0.875 0.625 0.250
Pr1 0.375 0.625 0.750
Pr2 0.625 0.375 0.250
Sc1 0.187 0.192 0.995
Sc2 0.303 0.808 0.495
Sc3 0.697 0.192 0.505
Sc4 0.813 0.808 0.005

=====

No. 5
Diffraction record for TbPr3Sc. The X-ray powder pattern is theoretical, not measured: it uses a cell relaxed with GGA-PBE and Cu Kα (weighted mean of Kα1 and Kα2).
Kinematic intensities with the Lorentz-polarization factor, no thermal factor.

Top 6 peaks for 5 to 70 degrees two-theta, by angle:
d_spacing	Rel. int.
3.466	49
2.978	61
2.940	100
2.825	97
2.676	60
2.411	37

Crystal structure
abc: 8.358 8.358 9.627
angles: 90.00 90.00 90.88
Positions (direct):
Tb1 0.136 0.864 0.934
Tb2 0.364 0.636 0.434
Tb3 0.636 0.364 0.566
Tb4 0.864 0.136 0.066
Pr1 0.036 0.315 0.406
Pr2 0.092 0.908 0.305
Pr3 0.185 0.464 0.094
Pr4 0.315 0.036 0.594
Pr5 0.408 0.592 0.805
Pr6 0.464 0.185 0.906
Pr7 0.536 0.815 0.094
Pr8 0.592 0.408 0.195
Pr9 0.685 0.964 0.406
Pr10 0.815 0.536 0.906
Pr11 0.908 0.092 0.695
Pr12 0.964 0.685 0.594
Sc1 0.137 0.363 0.750
Sc2 0.363 0.137 0.250
Sc3 0.637 0.863 0.750
Sc4 0.863 0.637 0.250

=====

No. 6
Diffraction record for Tb4PrSc2. The X-ray powder pattern is theoretical, not measured: it uses a cell relaxed with GGA-PBE and Cu Kα (weighted mean of Kα1 and Kα2).
Kinematic intensities with the Lorentz-polarization factor, no thermal factor.

Top 6 peaks for 5 to 70 degrees two-theta, by angle:
d_spacing	Rel. int.
2.865	61
2.808	100
2.734	48
2.701	43
2.540	28
1.455	27

Crystal structure
abc: 5.469 6.802 11.778
angles: 90.00 103.46 90.00
Positions (direct):
Tb1 0.076 0.250 0.157
Tb2 0.214 0.750 0.430
Tb3 0.353 0.502 0.706
Tb4 0.353 0.998 0.706
Tb5 0.647 0.002 0.294
Tb6 0.647 0.498 0.294
Tb7 0.786 0.250 0.570
Tb8 0.924 0.750 0.843
Pr1 0.074 0.750 0.141
Pr2 0.926 0.250 0.859
Sc1 0.216 0.250 0.431
Sc2 0.499 0.750 0.992
Sc3 0.501 0.250 0.008
Sc4 0.784 0.750 0.569

=====

No. 7
Diffraction record for Tb6Pr2Sc. The X-ray powder pattern is theoretical, not measured: it uses a cell relaxed with GGA-PBE and Cu Kα (weighted mean of Kα1 and Kα2).
Kinematic intensities with the Lorentz-polarization factor, no thermal factor.

Top 6 peaks for 5 to 70 degrees two-theta, by angle:
d_spacing	Rel. int.
2.936	100
2.899	47
2.805	89
2.387	54
1.842	21
1.651	16

Crystal structure
abc: 10.059 10.059 6.090
angles: 95.73 95.73 70.38
Positions (direct):
Tb1 0.093 0.809 0.989
Tb2 0.160 0.432 0.135
Tb3 0.191 0.907 0.511
Tb4 0.260 0.526 0.672
Tb5 0.432 0.160 0.635
Tb6 0.474 0.740 0.828
Tb7 0.526 0.260 0.172
Tb8 0.568 0.840 0.365
Tb9 0.740 0.474 0.328
Tb10 0.809 0.093 0.489
Tb11 0.840 0.568 0.865
Tb12 0.907 0.191 0.011
Pr1 0.067 0.277 0.561
Pr2 0.277 0.067 0.061
Pr3 0.723 0.933 0.939
Pr4 0.933 0.723 0.439
Sc1 0.396 0.604 0.250
Sc2 0.604 0.396 0.750

=====

No. 8
Diffraction record for TbPr10Sc4. The X-ray powder pattern is theoretical, not measured: it uses a cell relaxed with GGA-PBE and Cu Kα (weighted mean of Kα1 and Kα2).
Kinematic intensities with the Lorentz-polarization factor, no thermal factor.

Top 6 peaks for 5 to 70 degrees two-theta, by angle:
d_spacing	Rel. int.
4.076	30
3.597	78
2.942	27
2.697	100
2.544	59
2.397	36

Crystal structure
abc: 9.018 9.018 9.018
angles: 101.79 101.79 126.25
Positions (direct):
Tb1 0.000 0.000 0.000
Pr1 0.034 0.688 0.118
Pr2 0.084 0.966 0.654
Pr3 0.250 0.750 0.500
Pr4 0.312 0.430 0.346
Pr5 0.430 0.084 0.118
Pr6 0.570 0.916 0.882
Pr7 0.688 0.570 0.654
Pr8 0.750 0.250 0.500
Pr9 0.916 0.034 0.346
Pr10 0.966 0.312 0.882
Sc1 0.292 0.432 0.724
Sc2 0.432 0.708 0.140
Sc3 0.568 0.292 0.860
Sc4 0.708 0.568 0.276

=====

No. 9
Diffraction record for Tb9Pr2Sc. The X-ray powder pattern is theoretical, not measured: it uses a cell relaxed with GGA-PBE and Cu Kα (weighted mean of Kα1 and Kα2).
Kinematic intensities with the Lorentz-polarization factor, no thermal factor.

Top 6 peaks for 5 to 70 degrees two-theta, by angle:
d_spacing	Rel. int.
2.910	100
2.523	34
2.514	16
1.782	35
1.521	28
1.517	13

Crystal structure
abc: 5.046 5.046 15.084
angles: 90.00 90.00 90.00
Positions (direct):
Tb1 0.000 0.000 0.000
Tb2 0.000 0.000 0.330
Tb3 0.000 0.000 0.670
Tb4 0.000 0.500 0.160
Tb5 0.000 0.500 0.500
Tb6 0.000 0.500 0.840
Tb7 0.500 0.000 0.160
Tb8 0.500 0.000 0.500
Tb9 0.500 0.000 0.840
Pr1 0.500 0.500 0.331
Pr2 0.500 0.500 0.669
Sc1 0.500 0.500 0.000

=====

No. 10
Diffraction record for Tb2PrSc6. The X-ray powder pattern is theoretical, not measured: it uses a cell relaxed with GGA-PBE and Cu Kα (weighted mean of Kα1 and Kα2).
Kinematic intensities with the Lorentz-polarization factor, no thermal factor.

Top 6 peaks for 5 to 70 degrees two-theta, by angle:
d_spacing	Rel. int.
5.222	57
3.613	92
2.971	100
2.611	36
2.295	73
2.116	46

Crystal structure
abc: 5.110 5.110 20.890
angles: 90.00 90.00 90.00
Positions (direct):
Tb1 0.000 0.000 0.238
Tb2 0.000 0.000 0.762
Tb3 0.500 0.500 0.262
Tb4 0.500 0.500 0.738
Pr1 0.000 0.000 0.000
Pr2 0.500 0.500 0.500
Sc1 0.164 0.164 0.500
Sc2 0.222 0.778 0.381
Sc3 0.222 0.778 0.619
Sc4 0.278 0.278 0.119
Sc5 0.278 0.278 0.881
Sc6 0.336 0.664 0.000
Sc7 0.664 0.336 0.000
Sc8 0.722 0.722 0.119
Sc9 0.722 0.722 0.881
Sc10 0.778 0.222 0.381
Sc11 0.778 0.222 0.619
Sc12 0.836 0.836 0.500

=====

No. 11
Diffraction record for Tb8PrSc3. The X-ray powder pattern is theoretical, not measured: it uses a cell relaxed with GGA-PBE and Cu Kα (weighted mean of Kα1 and Kα2).
Kinematic intensities with the Lorentz-polarization factor, no thermal factor.

Top 6 peaks for 5 to 70 degrees two-theta, by angle:
d_spacing	Rel. int.
5.565	43
5.477	47
2.842	58
2.808	65
2.775	100
2.499	70

Crystal structure
abc: 8.528 8.528 8.528
angles: 135.49 100.09 96.41
Positions (direct):
Tb1 0.081 0.246 0.835
Tb2 0.218 0.269 0.487
Tb3 0.218 0.731 0.949
Tb4 0.412 0.246 0.165
Tb5 0.588 0.754 0.835
Tb6 0.782 0.269 0.051
Tb7 0.782 0.731 0.513
Tb8 0.919 0.754 0.165
Pr1 0.500 0.500 0.000
Sc1 0.000 0.000 0.000
Sc2 0.210 0.710 0.500
Sc3 0.790 0.290 0.500

=====

No. 12
Diffraction record for Tb3Pr7Sc. The X-ray powder pattern is theoretical, not measured: it uses a cell relaxed with GGA-PBE and Cu Kα (weighted mean of Kα1 and Kα2).
Kinematic intensities with the Lorentz-polarization factor, no thermal factor.

Top 6 peaks for 5 to 70 degrees two-theta, by angle:
d_spacing	Rel. int.
3.180	18
2.965	17
2.871	100
2.824	25
2.741	40
1.590	18

Crystal structure
abc: 10.004 10.004 11.493
angles: 90.00 90.00 41.47
Positions (direct):
Tb1 0.000 0.000 0.000
Tb2 0.000 0.000 0.500
Tb3 0.233 0.245 0.250
Tb4 0.245 0.233 0.750
Tb5 0.755 0.767 0.250
Tb6 0.767 0.755 0.750
Pr1 0.098 0.581 0.470
Pr2 0.099 0.581 0.031
Pr3 0.200 0.627 0.750
Pr4 0.227 0.773 0.250
Pr5 0.373 0.800 0.750
Pr6 0.419 0.901 0.031
Pr7 0.419 0.902 0.470
Pr8 0.581 0.098 0.970
Pr9 0.581 0.099 0.531
Pr10 0.627 0.200 0.250
Pr11 0.773 0.227 0.750
Pr12 0.800 0.373 0.250
Pr13 0.901 0.419 0.531
Pr14 0.902 0.419 0.970
Sc1 0.500 0.500 0.000
Sc2 0.500 0.500 0.500